Calculated powder diffraction line list of CoF3 for copper Kα, from a crystal structure in Alexandria, relaxed with GGA+U.
Neutral-atom scattering factors, no anomalous dispersion.

Cell and atoms:
a = 9.435 Å, b = 5.453 Å, c = 6.608 Å
α = 90.00°, β = 90.02°, γ = 90.00°
Space group C2 (No. 5)
Unique sites:
Co 0.000 0.000 0.000 (multiplicity 2)
Co 0.167 0.498 0.667 (multiplicity 4)
F 0.000 0.459 0.500 (multiplicity 2)
F 0.102 0.766 0.835 (multiplicity 4)
F 0.105 0.275 0.855 (multiplicity 4)
F 0.142 0.016 0.190 (multiplicity 4)
F 0.245 0.706 0.478 (multiplicity 4)

The 8 most intense peaks (2θ = 15–90°), in order of rising 2θ:
2θ = 23.16°, rel. 100; 2θ = 32.87°, rel. 12; 2θ = 33.10°, rel. 10; 2θ = 47.34°, rel. 26; 2θ = 53.18°, rel. 18; 2θ = 53.49°, rel. 17; 2θ = 68.91°, rel. 6; 2θ = 69.45°, rel. 6